# TbDy5Ho2
Simulated powder diffractogram, Cu Kα X-rays. Input: a GGA-PBE-relaxed structure.

Atomic structure:
```
data_TbDy5Ho2
_cell_length_a 6.675
_cell_length_b 9.143
_cell_length_c 9.152
_cell_angle_alpha 86.22
_cell_angle_beta 72.30
_cell_angle_gamma 72.35
_symmetry_space_group_name_H-M 'P -1'
_symmetry_Int_Tables_number 2
loop_
_symmetry_equiv_pos_as_xyz
'x,y,z'
'-x,-y,-z'
loop_
_atom_site_label
_atom_site_fract_x
_atom_site_fract_y
_atom_site_fract_z
Tb1 0.126 0.229 0.396
Dy1 0.124 0.896 0.230
Dy2 0.126 0.728 0.896
Dy3 0.374 0.022 0.854
Dy4 0.375 0.354 0.020
Dy5 0.375 0.522 0.354
Ho1 0.125 0.396 0.729
Ho2 0.376 0.854 0.521
```

Largest 11 diffraction maxima, low angle first, 5 to 70 degrees two-theta:
2θ (°)  intensity  hkl
28.56  24  1 0 -2
31.86  24  2 2 2
32.79  100  0 3 1
43.31  16  3 2 0
50.59  20  1 2 -4
57.36  20  4 1 3
59.12  3  2 -4 0
61.04  23  4 0 0
61.60  16  3 1 -3
66.59  3  4 4 4
68.74  4  0 6 2